(1)
Starting from the PBE+U geometry in the Materials Project, the powder diffractogram of CrO2 was calculated for Cu Kα X-rays.
Kinematic intensities with the Lorentz-polarization factor, no thermal factor.

Crystal structure
abc: 5.794 5.794 5.794
angles: 61.07 61.07 61.07
Positions (direct):
Cr  0.000  0.000  0.000
Cr  0.386  0.386  0.860
Cr  0.386  0.860  0.386
Cr  0.860  0.386  0.386
O  0.121  0.121  0.620
O  0.121  0.620  0.121
O  0.134  0.134  0.134
O  0.174  0.631  0.631
O  0.620  0.121  0.121
O  0.620  0.620  0.620
O  0.631  0.174  0.631
O  0.631  0.631  0.174

The 10 most intense peaks (10° ≤ 2θ ≤ 80°), sorted by position:
| Position (°2θ) | d [Å] | I (rel.) |
| --- | --- | --- |
| 18.91 | 4.692 | 100 |
| 21.52 | 4.129 | 72 |
| 30.88 | 2.896 | 40 |
| 35.79 | 2.509 | 81 |
| 36.02 | 2.494 | 42 |
| 36.46 | 2.464 | 16 |
| 43.85 | 2.065 | 60 |
| 58.46 | 1.579 | 27 |
| 63.17 | 1.472 | 35 |
| 64.33 | 1.448 | 31 |

(2)
Starting from the PBE+U geometry in the Materials Project, the powder diffractogram of CaVSi4O14 was calculated for Cu Kα X-rays.
Kinematic intensities with the Lorentz-polarization factor, no thermal factor.

Crystal structure
abc: 8.608 8.608 9.058
angles: 90.00 90.00 75.99
Positions (direct):
Ca  0.222  0.778  0.500
Ca  0.778  0.222  0.000
V  0.048  0.952  0.821
V  0.952  0.048  0.321
Si  0.073  0.361  0.195
Si  0.115  0.316  0.855
Si  0.316  0.115  0.355
Si  0.361  0.073  0.695
Si  0.639  0.927  0.195
Si  0.684  0.885  0.855
Si  0.885  0.684  0.355
Si  0.927  0.639  0.695
O  0.012  0.178  0.851
O  0.030  0.466  0.752
O  0.039  0.770  0.702
O  0.118  0.882  0.979
O  0.120  0.380  0.023
O  0.178  0.012  0.351
O  0.230  0.961  0.702
O  0.234  0.295  0.295
O  0.295  0.234  0.795
O  0.345  0.655  0.299
O  0.380  0.120  0.523
O  0.393  0.513  0.543
O  0.466  0.030  0.252
O  0.487  0.607  0.543
O  0.513  0.393  0.043
O  0.534  0.970  0.752
O  0.607  0.487  0.043
O  0.620  0.880  0.023
O  0.655  0.345  0.799
O  0.705  0.766  0.295
O  0.766  0.705  0.795
O  0.770  0.039  0.202
O  0.822  0.988  0.851
O  0.880  0.620  0.523
O  0.882  0.118  0.479
O  0.961  0.230  0.202
O  0.970  0.534  0.252
O  0.988  0.822  0.351

The 10 most intense peaks (10° ≤ 2θ ≤ 80°), sorted by position:
| Position (°2θ) | d [Å] | I (rel.) |
| --- | --- | --- |
| 10.59 | 8.351 | 100 |
| 14.43 | 6.140 | 56 |
| 19.41 | 4.574 | 28 |
| 19.60 | 4.529 | 22 |
| 22.33 | 3.981 | 36 |
| 23.46 | 3.792 | 51 |
| 23.62 | 3.766 | 24 |
| 26.28 | 3.392 | 54 |
| 33.68 | 2.661 | 15 |
| 36.77 | 2.444 | 15 |